No. 1
Pr3Cd8Ag: simulated powder XRD pattern (λ = 1.5418 Å (Cu Kα)), based on a DFT-relaxed cell (GGA-PBE, Alexandria).
Peak positions follow from Bragg's law for the DFT cell and can differ from measured ones.

Principal peaks in the range 15° ≤ 2θ ≤ 90°, in order of rising 2θ:
h k l, two_theta, I/Imax
1 1 0, 30.0, 42.2
1 0 10, 35.3, 100.0
2 0 2, 35.3, 34.3
0 2 4, 37.0, 36.9
2 1 10, 56.7, 24.1
3 0 6, 56.8, 16.1
0 2 16, 62.2, 17.3
2 2 0, 62.4, 18.7

Atomic structure:
```
data_Pr3Cd8Ag
_chemical_formula_sum 'Pr9 Cd24 Ag3'
_cell_length_a 5.9548
_cell_length_b 5.9548
_cell_length_c 29.3047
_cell_angle_alpha 90.00
_cell_angle_beta 90.00
_cell_angle_gamma 120.00
_symmetry_space_group_name_H-M 'R 3 m'
_symmetry_Int_Tables_number 160
_symmetry_space_group_name_Hall 'R 3 -2"'
loop_
_atom_site_label
_atom_site_type_symbol
_atom_site_fract_x
_atom_site_fract_y
_atom_site_fract_z
_atom_site_occupancy
Pr1 Pr 0.0000 0.0000 0.0000 1
Pr2 Pr 0.0000 0.0000 0.1265 1
Pr3 Pr 0.0000 0.0000 0.5116 1
Cd1 Cd 0.0000 0.0000 0.3159 1
Cd2 Cd 0.0000 0.0000 0.8162 1
Cd3 Cd 0.0005 0.5002 0.0658 1
Cd4 Cd 0.0013 0.5006 0.5668 1
Ag1 Ag 0.0000 0.0000 0.6330 1
```



No. 2
Pr3Cd2Ag6: simulated powder XRD pattern (λ = 1.5418 Å (Cu Kα)), based on a DFT-relaxed cell (GGA-PBE, Alexandria).
Peak positions follow from Bragg's law for the DFT cell and can differ from measured ones.

Principal peaks in the range 15° ≤ 2θ ≤ 90°, in order of rising 2θ:
h k l, two_theta, I/Imax
1 1 0, 29.5, 21.9
1 1 4, 32.0, 100.0
1 0 9, 34.6, 68.9
1 1 6, 34.8, 40.6
1 1 8, 38.5, 76.1
2 0 0, 42.2, 78.6
2 1 9, 55.6, 34.0
2 2 0, 61.2, 25.1

Atomic structure:
```
data_Pr3Cd2Ag6
_chemical_formula_sum 'Pr6 Cd4 Ag12'
_cell_length_a 4.283
_cell_length_b 4.283
_cell_length_c 29.364
_cell_angle_alpha 90.00
_cell_angle_beta 90.00
_cell_angle_gamma 90.00
_symmetry_space_group_name_H-M 'I 4/m m m'
_symmetry_Int_Tables_number 139
_symmetry_space_group_name_Hall '-I 4 2'
loop_
_atom_site_label
_atom_site_type_symbol
_atom_site_fract_x
_atom_site_fract_y
_atom_site_fract_z
_atom_site_occupancy
Pr1 Pr 0.000 0.000 0.000 1
Pr2 Pr 0.000 0.000 0.204 1
Cd1 Cd 0.000 0.000 0.450 1
Ag1 Ag 0.000 0.000 0.320 1
Ag2 Ag 0.000 0.500 0.113 1
```



No. 3
PrCd4Ag2: simulated powder XRD pattern (λ = 1.5418 Å (Cu Kα)), based on a DFT-relaxed cell (GGA-PBE, Alexandria).
Peak positions follow from Bragg's law for the DFT cell and can differ from measured ones.

Principal peaks in the range 15° ≤ 2θ ≤ 90°, in order of rising 2θ:
h k l, two_theta, I/Imax
2 1 1, 30.9, 100.0
3 1 0, 33.0, 34.9
2 2 1, 35.9, 65.4
3 1 1, 39.0, 57.2
0 0 2, 40.8, 37.0
4 1 0, 43.5, 34.7
4 3 1, 57.6, 20.0
4 1 2, 61.2, 28.2

Atomic structure:
```
data_PrCd4Ag2
_chemical_formula_sum 'Pr2 Cd8 Ag4'
_cell_length_a 8.578
_cell_length_b 8.578
_cell_length_c 4.422
_cell_angle_alpha 90.00
_cell_angle_beta 90.00
_cell_angle_gamma 90.00
_symmetry_space_group_name_H-M 'P 42/m n m'
_symmetry_Int_Tables_number 136
_symmetry_space_group_name_Hall '-P 4n 2n'
loop_
_atom_site_label
_atom_site_type_symbol
_atom_site_fract_x
_atom_site_fract_y
_atom_site_fract_z
_atom_site_occupancy
Pr1 Pr 0.000 0.000 0.000 1
Cd1 Cd 0.092 0.341 0.500 1
Ag1 Ag 0.201 0.799 0.500 1
```



No. 4
PrCdAg6: simulated powder XRD pattern (λ = 1.5418 Å (Cu Kα)), based on a DFT-relaxed cell (GGA-PBE, Alexandria).
Peak positions follow from Bragg's law for the DFT cell and can differ from measured ones.

Principal peaks in the range 15° ≤ 2θ ≤ 90°, in order of rising 2θ:
h k l, two_theta, I/Imax
2 0 0, 32.6, 39.3
2 1 0, 36.6, 100.0
2 1 1, 40.2, 87.3
3 0 2, 60.8, 21.4
3 2 1, 63.3, 43.7
4 0 0, 68.3, 15.9
4 2 0, 77.7, 11.9
4 2 1, 80.0, 18.7

Atomic structure:
```
data_PrCdAg6
_chemical_formula_sum 'Pr1 Cd1 Ag6'
_cell_length_a 5.496
_cell_length_b 5.496
_cell_length_c 5.496
_cell_angle_alpha 90.00
_cell_angle_beta 90.00
_cell_angle_gamma 90.00
_symmetry_space_group_name_H-M 'P m -3'
_symmetry_Int_Tables_number 200
_symmetry_space_group_name_Hall '-P 2 2 3'
loop_
_atom_site_label
_atom_site_type_symbol
_atom_site_fract_x
_atom_site_fract_y
_atom_site_fract_z
_atom_site_occupancy
Pr1 Pr 0.000 0.000 0.000 1
Cd1 Cd 0.500 0.500 0.500 1
Ag1 Ag 0.000 0.255 0.500 1
```



No. 5
Pr2Cd5Ag12: simulated powder XRD pattern (λ = 1.5418 Å (Cu Kα)), based on a DFT-relaxed cell (GGA-PBE, Alexandria).
Peak positions follow from Bragg's law for the DFT cell and can differ from measured ones.

Principal peaks in the range 15° ≤ 2θ ≤ 90°, in order of rising 2θ:
h k l, two_theta, I/Imax
3 0 0, 31.6, 36.6
0 2 4, 32.6, 27.3
2 2 0, 36.7, 57.1
0 3 3, 36.8, 100.0
0 0 6, 37.4, 32.4
2 2 3, 41.3, 66.9
3 3 3, 59.8, 19.1
6 0 0, 66.0, 31.3

Atomic structure:
```
data_Pr2Cd5Ag12
_chemical_formula_sum 'Pr6 Cd15 Ag36'
_cell_length_a 9.8051
_cell_length_b 9.8051
_cell_length_c 14.4235
_cell_angle_alpha 90.00
_cell_angle_beta 90.00
_cell_angle_gamma 120.00
_symmetry_space_group_name_H-M 'R -3 m'
_symmetry_Int_Tables_number 166
_symmetry_space_group_name_Hall '-R 3 2"'
loop_
_atom_site_label
_atom_site_type_symbol
_atom_site_fract_x
_atom_site_fract_y
_atom_site_fract_z
_atom_site_occupancy
Pr1 Pr 0.0000 0.0000 0.1482 1
Cd1 Cd 0.0000 0.0000 0.3987 1
Cd2 Cd 0.0000 0.5000 0.0000 1
Ag1 Ag 0.0000 0.3079 0.5000 1
Ag2 Ag 0.0077 0.5039 0.6522 1
```



No. 6
PrCd4Ag: simulated powder XRD pattern (λ = 1.5418 Å (Cu Kα)), based on a DFT-relaxed cell (GGA-PBE, Alexandria).
Peak positions follow from Bragg's law for the DFT cell and can differ from measured ones.

Principal peaks in the range 15° ≤ 2θ ≤ 90°, in order of rising 2θ:
h k l, two_theta, I/Imax
2 1 1, 31.5, 100.0
1 1 2, 32.6, 62.2
0 0 3, 34.7, 22.4
1 0 3, 36.4, 26.2
2 1 2, 37.5, 75.8
0 2 0, 41.3, 41.7
4 0 0, 42.5, 23.6
1 2 3, 56.2, 19.1

Atomic structure:
```
data_PrCd4Ag
_chemical_formula_sum 'Pr2 Cd8 Ag2'
_cell_length_a 8.514
_cell_length_b 4.368
_cell_length_c 7.746
_cell_angle_alpha 90.00
_cell_angle_beta 90.00
_cell_angle_gamma 90.00
_symmetry_space_group_name_H-M 'P m m a'
_symmetry_Int_Tables_number 51
loop_
_symmetry_equiv_pos_as_xyz
'x,y,z'
'-x,-y,-z'
'-x+1/2,-y,z'
'x+1/2,y,-z'
'x+1/2,-y,-z'
'-x+1/2,y,z'
'-x,y,-z'
'x,-y,z'
loop_
_atom_site_label
_atom_site_type_symbol
_atom_site_fract_x
_atom_site_fract_y
_atom_site_fract_z
_atom_site_occupancy
Pr1 Pr 0.250 0.000 0.120 1
Cd1 Cd 0.000 0.000 0.500 1
Cd2 Cd 0.049 0.500 0.816 1
Cd3 Cd 0.250 0.500 0.438 1
Ag1 Ag 0.250 0.000 0.721 1
```



No. 7
Pr3Cd2Ag9: simulated powder XRD pattern (λ = 1.5418 Å (Cu Kα)), based on a DFT-relaxed cell (GGA-PBE, Alexandria).
Peak positions follow from Bragg's law for the DFT cell and can differ from measured ones.

Principal peaks in the range 15° ≤ 2θ ≤ 90°, in order of rising 2θ:
h k l, two_theta, I/Imax
0 2 4, 31.8, 32.2
1 2 3, 32.8, 100.0
1 3 0, 33.3, 36.3
1 1 4, 33.5, 32.2
1 3 2, 35.9, 42.5
2 0 0, 38.1, 60.3
0 0 6, 39.3, 23.8
1 4 1, 42.1, 23.4

Atomic structure:
```
data_Pr3Cd2Ag9
_chemical_formula_sum 'Pr6 Cd4 Ag18'
_cell_length_a 4.724
_cell_length_b 9.801
_cell_length_c 13.747
_cell_angle_alpha 90.00
_cell_angle_beta 90.00
_cell_angle_gamma 90.00
_symmetry_space_group_name_H-M 'I m m m'
_symmetry_Int_Tables_number 71
_symmetry_space_group_name_Hall '-I 2 2'
loop_
_atom_site_label
_atom_site_type_symbol
_atom_site_fract_x
_atom_site_fract_y
_atom_site_fract_z
_atom_site_occupancy
Pr1 Pr 0.000 0.000 0.000 1
Pr2 Pr 0.000 0.000 0.293 1
Cd1 Cd 0.000 0.186 0.500 1
Ag1 Ag 0.000 0.284 0.134 1
Ag2 Ag 0.000 0.361 0.336 1
Ag3 Ag 0.000 0.500 0.000 1
```



No. 8
Pr4CdAg2Pt: simulated powder XRD pattern (λ = 1.5418 Å (Cu Kα)), based on a DFT-relaxed cell (GGA-PBE, Alexandria).
Peak positions follow from Bragg's law for the DFT cell and can differ from measured ones.

Principal peaks in the range 15° ≤ 2θ ≤ 90°, in order of rising 2θ:
h k l, two_theta, I/Imax
1 1 0, 33.6, 100.0
0 1 8, 33.8, 85.9
2 0 8, 48.4, 31.0
3 0 0, 60.1, 18.4
1 2 8, 60.2, 31.9
1 0 16, 60.5, 10.1
2 2 0, 70.6, 11.3
3 1 8, 80.6, 13.8

Atomic structure:
```
data_Pr4CdAg2Pt
_chemical_formula_sum 'Pr12 Cd3 Ag6 Pt3'
_cell_length_a 5.3350
_cell_length_b 5.3350
_cell_length_c 25.9434
_cell_angle_alpha 90.00
_cell_angle_beta 90.00
_cell_angle_gamma 120.00
_symmetry_space_group_name_H-M 'R -3 m'
_symmetry_Int_Tables_number 166
_symmetry_space_group_name_Hall '-R 3 2"'
loop_
_atom_site_label
_atom_site_type_symbol
_atom_site_fract_x
_atom_site_fract_y
_atom_site_fract_z
_atom_site_occupancy
Pr1 Pr 0.0000 0.0000 0.1163 1
Pr2 Pr 0.0000 0.0000 0.3683 1
Cd1 Cd 0.0000 0.0000 0.5000 1
Ag1 Ag 0.0000 0.0000 0.2395 1
Pt1 Pt 0.0000 0.0000 0.0000 1
```



No. 9
CdAgPt5: simulated powder XRD pattern (λ = 1.5418 Å (Cu Kα)), based on a DFT-relaxed cell (GGA-PBE, Alexandria).
Peak positions follow from Bragg's law for the DFT cell and can differ from measured ones.

Principal peaks in the range 15° ≤ 2θ ≤ 90°, in order of rising 2θ:
h k l, two_theta, I/Imax
1 0 1, 20.0, 100.0
2 0 0, 22.3, 59.8
2 1 1, 30.1, 71.9
1 1 2, 37.2, 46.4
0 2 2, 40.6, 30.0
3 2 1, 44.3, 82.9
0 4 0, 45.4, 24.0
2 2 2, 46.8, 42.5

Atomic structure:
```
data_CdAgPt5
_chemical_formula_sum 'Cd2 Ag2 Pt10'
_cell_length_a 7.976
_cell_length_b 7.996
_cell_length_c 5.355
_cell_angle_alpha 90.00
_cell_angle_beta 90.00
_cell_angle_gamma 90.00
_symmetry_space_group_name_H-M 'I m m 2'
_symmetry_Int_Tables_number 44
loop_
_symmetry_equiv_pos_as_xyz
'x,y,z'
'-x,-y,z'
'-x,y,z'
'x,-y,z'
'x+1/2,y+1/2,z+1/2'
'-x+1/2,-y+1/2,z+1/2'
'-x+1/2,y+1/2,z+1/2'
'x+1/2,-y+1/2,z+1/2'
loop_
_atom_site_label
_atom_site_type_symbol
_atom_site_fract_x
_atom_site_fract_y
_atom_site_fract_z
_atom_site_occupancy
Cd1 Cd 0.000 0.000 0.000 1
Ag1 Ag 0.000 0.500 0.749 1
Pt1 Pt 0.000 0.000 0.500 1
Pt2 Pt 0.000 0.285 0.306 1
Pt3 Pt 0.214 0.500 0.194 1
```



No. 10
Cd6AgPt10: simulated powder XRD pattern (λ = 1.5418 Å (Cu Kα)), based on a DFT-relaxed cell (GGA-PBE, Alexandria).
Peak positions follow from Bragg's law for the DFT cell and can differ from measured ones.

Principal peaks in the range 15° ≤ 2θ ≤ 90°, in order of rising 2θ:
h k l, two_theta, I/Imax
3 3 0, 38.3, 100.0
1 3 -2, 38.5, 97.7
0 6 0, 44.2, 33.4
4 0 -2, 44.9, 62.7
4 6 -2, 64.8, 40.8
3 9 0, 77.4, 12.5
7 3 -2, 78.2, 23.6
5 3 -4, 78.5, 22.1

Atomic structure:
```
data_Cd6AgPt10
_chemical_formula_sum 'Cd12 Ag2 Pt20'
_cell_length_a 9.058
_cell_length_b 12.286
_cell_length_c 5.699
_cell_angle_alpha 90.00
_cell_angle_beta 108.33
_cell_angle_gamma 90.00
_symmetry_space_group_name_H-M 'C 1 2/m 1'
_symmetry_Int_Tables_number 12
loop_
_symmetry_equiv_pos_as_xyz
'x,y,z'
'-x,-y,-z'
'-x,y,-z'
'x,-y,z'
'x+1/2,y+1/2,z'
'-x+1/2,-y+1/2,-z'
'-x+1/2,y+1/2,-z'
'x+1/2,-y+1/2,z'
loop_
_atom_site_label
_atom_site_type_symbol
_atom_site_fract_x
_atom_site_fract_y
_atom_site_fract_z
_atom_site_occupancy
Cd1 Cd 0.155 0.159 0.304 1
Cd2 Cd 0.157 0.500 0.337 1
Ag1 Ag 0.000 0.000 0.500 1
Pt1 Pt 0.000 0.329 0.500 1
Pt2 Pt 0.000 0.331 0.000 1
Pt3 Pt 0.170 0.500 0.850 1
Pt4 Pt 0.173 0.168 0.823 1
```



No. 11
Cd4Ag3Pt: simulated powder XRD pattern (λ = 1.5418 Å (Cu Kα)), based on a DFT-relaxed cell (GGA-PBE, Alexandria).
Peak positions follow from Bragg's law for the DFT cell and can differ from measured ones.

Principal peaks in the range 15° ≤ 2θ ≤ 90°, in order of rising 2θ:
h k l, two_theta, I/Imax
1 2 1, 35.4, 14.8
0 0 2, 35.8, 15.0
4 0 0, 36.9, 37.1
1 0 2, 37.0, 15.1
2 2 1, 39.0, 100.0
2 0 2, 40.4, 12.6
6 2 1, 67.8, 18.5
4 4 0, 72.7, 13.3

Atomic structure:
```
data_Cd4Ag3Pt
_chemical_formula_sum 'Cd8 Ag6 Pt2'
_cell_length_a 9.753
_cell_length_b 6.156
_cell_length_c 5.018
_cell_angle_alpha 90.00
_cell_angle_beta 90.00
_cell_angle_gamma 90.00
_symmetry_space_group_name_H-M 'P m m a'
_symmetry_Int_Tables_number 51
loop_
_symmetry_equiv_pos_as_xyz
'x,y,z'
'-x,-y,-z'
'-x+1/2,-y,z'
'x+1/2,y,-z'
'x+1/2,-y,-z'
'-x+1/2,y,z'
'-x,y,-z'
'x,-y,z'
loop_
_atom_site_label
_atom_site_type_symbol
_atom_site_fract_x
_atom_site_fract_y
_atom_site_fract_z
_atom_site_occupancy
Cd1 Cd 0.000 0.244 0.000 1
Cd2 Cd 0.250 0.246 0.392 1
Ag1 Ag 0.000 0.500 0.500 1
Ag2 Ag 0.250 0.000 0.877 1
Ag3 Ag 0.250 0.500 0.888 1
Pt1 Pt 0.000 0.000 0.500 1
```



No. 12
Cd4Ag3Pt2: simulated powder XRD pattern (λ = 1.5418 Å (Cu Kα)), based on a DFT-relaxed cell (GGA-PBE, Alexandria).
Peak positions follow from Bragg's law for the DFT cell and can differ from measured ones.

Principal peaks in the range 15° ≤ 2θ ≤ 90°, in order of rising 2θ:
h k l, two_theta, I/Imax
1 1 3, 37.0, 100.0
1 0 -3, 37.1, 99.0
1 -1 0, 37.4, 96.9
1 2 0, 37.6, 95.8
0 1 -3, 41.5, 72.3
2 1 0, 42.7, 66.5
0 2 3, 45.6, 54.3
3 0 0, 74.7, 24.5

Atomic structure:
```
data_Cd4Ag3Pt2
_chemical_formula_sum 'Cd4 Ag3 Pt2'
_cell_length_a 4.231
_cell_length_b 4.971
_cell_length_c 8.920
_cell_angle_alpha 77.13
_cell_angle_beta 89.76
_cell_angle_gamma 64.99
_symmetry_space_group_name_H-M 'P -1'
_symmetry_Int_Tables_number 2
loop_
_symmetry_equiv_pos_as_xyz
'x,y,z'
'-x,-y,-z'
loop_
_atom_site_label
_atom_site_type_symbol
_atom_site_fract_x
_atom_site_fract_y
_atom_site_fract_z
_atom_site_occupancy
Cd1 Cd 0.006 0.487 0.332 1
Cd2 Cd 0.335 0.830 0.113 1
Ag1 Ag 0.000 0.500 0.000 1
Ag2 Ag 0.333 0.835 0.444 1
Pt1 Pt 0.332 0.838 0.782 1
```